The following is a simulated powder diffractogram of Tm3PtSe2. It was derived from a GGA-PBE-relaxed structure, using λ = 1.5418 Å (Cu Kα).

Structural model:
Lattice parameters (Å, degrees): 8.3383 11.5127 23.9194 90.00 90.00 90.00
Space group Fddd (No. 70, origin choice 2)
Inequivalent atoms, fractional coordinates:
Tm: 0.1095 0.3750 0.3750 (multiplicity 16)
Tm: 0.1169 0.3649 0.2123 (multiplicity 32)
Pt: 0.1250 0.1250 0.0418 (multiplicity 16)
Se: 0.1250 0.1250 0.3782 (multiplicity 16)
Se: 0.1250 0.1250 0.5449 (multiplicity 16)

Top 10 peaks for 2θ from 5° to 70°, sorted by position:
| h k l | d [Å] | I (rel.) |
| --- | --- | --- |
| 1 1 1 | 6.499 | 12 |
| 2 2 0 | 3.377 | 3 |
| 0 2 6 | 3.277 | 3 |
| 2 0 6 | 2.880 | 100 |
| 4 0 0 | 2.085 | 13 |
| 2 4 6 | 2.036 | 49 |
| 0 0 12 | 1.993 | 11 |
| 4 4 0 | 1.688 | 13 |
| 0 4 12 | 1.639 | 13 |
| 4 0 12 | 1.440 | 11 |

---

The following is a simulated powder diffractogram of Tm4PtSe5. It was derived from a GGA-PBE-relaxed structure, using λ = 1.5418 Å (Cu Kα).

Structural model:
Lattice parameters (Å, degrees): 17.5348 4.0259 8.2525 90.00 105.51 90.00
Space group C2/m (No. 12)
Inequivalent atoms, fractional coordinates:
Tm: 0.0029 0.0000 0.2614 (multiplicity 4)
Tm: 0.1763 0.5000 0.1136 (multiplicity 4)
Pt: 0.0000 0.5000 0.0000 (multiplicity 2)
Se: 0.0000 0.5000 0.5000 (multiplicity 2)
Se: 0.1616 0.0000 0.8595 (multiplicity 4)
Se: 0.1631 0.0000 0.3325 (multiplicity 4)

Top 10 peaks for 2θ from 5° to 70°, sorted by position:
| h k l | d [Å] | I (rel.) |
| --- | --- | --- |
| 2 0 0 | 8.448 | 27 |
| 0 0 1 | 7.952 | 46 |
| 1 1 -1 | 3.603 | 20 |
| 1 1 -2 | 2.881 | 100 |
| 6 0 0 | 2.816 | 47 |
| 2 0 -4 | 2.062 | 17 |
| 7 1 -2 | 2.038 | 37 |
| 0 2 0 | 2.013 | 19 |
| 5 1 2 | 1.991 | 31 |
| 6 2 0 | 1.638 | 26 |

---

The following is a simulated powder diffractogram of UPtSe4. It was derived from a GGA-PBE-relaxed structure, using λ = 1.5418 Å (Cu Kα).

Structural model:
Lattice parameters (Å, degrees): 5.9327 3.9221 6.7018 90.00 94.86 90.00
Space group P2/m (No. 10)
Inequivalent atoms, fractional coordinates:
U: 0.0000 0.0000 0.0000 (multiplicity 1)
Pt: 0.5000 0.5000 0.0000 (multiplicity 1)
Se: 0.1714 0.5000 0.2586 (multiplicity 2)
Se: 0.3530 0.0000 0.7687 (multiplicity 2)

Top 10 peaks for 2θ from 5° to 70°, sorted by position:
| h k l | d [Å] | I (rel.) |
| --- | --- | --- |
| 0 0 1 | 6.678 | 100 |
| 1 1 1 | 2.883 | 69 |
| 2 0 -1 | 2.792 | 34 |
| 1 1 -2 | 2.392 | 30 |
| 2 0 -2 | 2.313 | 13 |
| 1 1 2 | 2.283 | 28 |
| 0 2 0 | 1.961 | 14 |
| 1 1 -3 | 1.881 | 30 |
| 3 1 0 | 1.761 | 19 |
| 0 0 4 | 1.670 | 15 |

---

The following is a simulated powder diffractogram of Y5PtSe4. It was derived from a GGA-PBE-relaxed structure, using λ = 1.5418 Å (Cu Kα).

Structural model:
Lattice parameters (Å, degrees): 4.0788 4.0788 29.3297 90.00 90.00 90.00
Space group I4/mmm (No. 139)
Inequivalent atoms, fractional coordinates:
Y: 0.0000 0.0000 0.0000 (multiplicity 2)
Y: 0.0000 0.0000 0.2035 (multiplicity 4)
Y: 0.0000 0.0000 0.4026 (multiplicity 4)
Pt: 0.0000 0.0000 0.5000 (multiplicity 2)
Se: 0.0000 0.0000 0.1042 (multiplicity 4)
Se: 0.0000 0.0000 0.3026 (multiplicity 4)

Top 10 peaks for 2θ from 5° to 70°, sorted by position:
| h k l | d [Å] | I (rel.) |
| --- | --- | --- |
| 0 0 2 | 14.665 | 22 |
| 0 0 4 | 7.332 | 6 |
| 1 0 1 | 4.040 | 7 |
| 1 0 3 | 3.764 | 6 |
| 0 0 10 | 2.933 | 51 |
| 1 1 0 | 2.884 | 100 |
| 1 1 10 | 2.056 | 73 |
| 2 0 0 | 2.039 | 37 |
| 2 0 10 | 1.674 | 38 |
| 2 2 0 | 1.442 | 12 |